[1]
Computed XRD peak list of KGa for Cu Ka, from a structure optimized by DFT (PBE).
Lines closer than 0.1° are merged.

Peak list (12 most intense, 2θ from 15° to 90°, low angle first)
- d = 5.554 Å, 2θ = 15.96°, I 100, (1 0 1)
- d = 4.757 Å, 2θ = 18.65°, I 25, (2 0 0)
- d = 3.420 Å, 2θ = 26.05°, I 15, (0 0 2)
- d = 3.280 Å, 2θ = 27.19°, I 30, (2 1 0)
- d = 3.219 Å, 2θ = 27.72°, I 20, (1 0 2)
- d = 2.958 Å, 2θ = 30.22°, I 34, (2 1 1)
- d = 2.877 Å, 2θ = 31.08°, I 59, (3 0 1)
- d = 2.624 Å, 2θ = 34.18°, I 61, (1 1 2)
- d = 2.264 Å, 2θ = 39.81°, I 24, (0 2 0)
- d = 2.097 Å, 2θ = 43.15°, I 17, (1 2 1)
- d = 1.872 Å, 2θ = 48.63°, I 30, (2 1 3)
- d = 1.779 Å, 2θ = 51.35°, I 27, (3 2 1)

```
KGa
1.0
9.5144 0.0000 0.0000
0.0000 4.5285 0.0000
0.0000 0.0000 6.8409
K Ga
4 4
Direct
0.1772 0.2500 0.1194 K
0.3228 0.7500 0.6194 K
0.6772 0.2500 0.3806 K
0.8228 0.7500 0.8806 K
0.0229 0.2500 0.5688 Ga
0.4771 0.7500 0.0688 Ga
0.5229 0.2500 0.9312 Ga
0.9771 0.7500 0.4312 Ga
```

---

[2]
Computed XRD peak list of LaCeSn6 for Cu Ka, from a structure optimized by DFT (PBE).
Lines closer than 0.1° are merged.

Peak list (8 most intense, 2θ from 15° to 90°, low angle first)
- d = 2.756 Å, 2θ = 32.49°, I 100, (1 1 2)
- d = 2.387 Å, 2θ = 37.69°, I 50, (2 0 0)
- d = 1.688 Å, 2θ = 54.36°, I 36, (2 2 0)
- d = 1.439 Å, 2θ = 64.77°, I 43, (3 1 2)
- d = 1.378 Å, 2θ = 68.04°, I 12, (2 2 4)
- d = 1.194 Å, 2θ = 80.40°, I 2, (0 0 8)
- d = 1.193 Å, 2θ = 80.52°, I 4, (4 0 0)
- d = 1.095 Å, 2θ = 89.49°, I 19, (3 3 2)

```
LaCeSn6
1.0
4.7715 0.0000 0.0000
0.0000 4.7715 0.0000
0.0000 0.0000 9.5549
La Ce Sn
1 1 6
Direct
0.0000 0.0000 0.0000 La
0.0000 0.0000 0.5000 Ce
0.0000 0.5000 0.2535 Sn
0.0000 0.5000 0.7465 Sn
0.5000 0.0000 0.2535 Sn
0.5000 0.0000 0.7465 Sn
0.5000 0.5000 0.0000 Sn
0.5000 0.5000 0.5000 Sn
```

---

[3]
Computed XRD peak list of LaTeCl for Cu Ka, from a structure optimized by DFT (PBE).
Lines closer than 0.1° are merged.

Peak list (12 most intense, 2θ from 15° to 90°, low angle first)
- d = 4.071 Å, 2θ = 21.83°, I 26, (1 0 2)
- d = 3.641 Å, 2θ = 24.45°, I 31, (1 1 1)
- d = 3.029 Å, 2θ = 29.49°, I 51, (1 1 2)
- d = 2.933 Å, 2θ = 30.48°, I 21, (1 0 3)
- d = 2.860 Å, 2θ = 31.28°, I 100, (2 1 1)
- d = 2.588 Å, 2θ = 34.67°, I 14, (0 1 3)
- d = 2.462 Å, 2θ = 36.49°, I 37, (1 1 3)
- d = 2.364 Å, 2θ = 38.07°, I 14, (0 0 4)
- d = 2.324 Å, 2θ = 38.75°, I 34, (3 0 2)
- d = 2.267 Å, 2θ = 39.77°, I 30, (0 2 0)
- d = 1.623 Å, 2θ = 56.73°, I 22, (3 2 2)
- d = 1.600 Å, 2θ = 57.62°, I 18, (2 1 5)

```
LaTeCl
1.0
8.0057 0.0000 0.0000
0.0000 4.5333 0.0000
0.0000 0.0000 9.4547
La Te Cl
4 4 4
Direct
0.2384 0.2500 0.1316 La
0.2616 0.7500 0.6316 La
0.7384 0.2500 0.3684 La
0.7616 0.7500 0.8684 La
0.0383 0.7500 0.3318 Te
0.4617 0.2500 0.8318 Te
0.5383 0.7500 0.1682 Te
0.9617 0.2500 0.6682 Te
0.1350 0.7500 0.9396 Cl
0.3650 0.2500 0.4396 Cl
0.6350 0.7500 0.5604 Cl
0.8650 0.2500 0.0604 Cl
```